Diffraction record for Ni2SnRh. The XRD peak list is theoretical, not measured: it uses a cell relaxed with PBE and a wavelength of 1.5418 Å.
Intensities are scaled so that the largest is 100.

Peak list (10 most intense, 10° ≤ 2θ ≤ 80°, in order of falling intensity)
- (1 2 1), 40.9°, d = 2.205 Å, I 100
- (2 1 1), 46.2°, d = 1.967 Å, I 35
- (2 3 -1), 70.8°, d = 1.331 Å, I 19
- (0 2 -2), 50.5°, d = 1.808 Å, I 14
- (1 1 0), 25.8°, d = 3.456 Å, I 8
- (2 0 -2), 67.3°, d = 1.392 Å, I 5
- (2 2 4), 67.4°, d = 1.390 Å, I 5
- (0 2 0), 44.1°, d = 2.055 Å, I 2
- (-1 1 2), 53.6°, d = 1.710 Å, I 2
- (0 1 2), 34.8°, d = 2.578 Å, I 1

Structure:
a b c (Å): 3.9374 4.5611 7.1871
angles (deg): 85.87 74.18 64.48
Sites, in units of the cell vectors:
1 Ni 0.0000 0.0000 0.0000
2 Ni 0.1312 0.1151 0.6225
3 Ni 0.5000 0.5000 0.5000
4 Ni 0.8688 0.8849 0.3775
5 Sn 0.2401 0.2576 0.2620
6 Sn 0.7599 0.7424 0.7380
7 Rh 0.3819 0.3643 0.8717
8 Rh 0.6181 0.6357 0.1283